Theoretical PXRD pattern of Ca2Hg5Au3 for Cu Kα, 1.54184 Å, from DFT lattice parameters and positions (PBE).
Lines closer than 0.1° are merged.

Peak list (8 most intense, 10° ≤ 2θ ≤ 90°, sorted by position)
d 4.090, 2θ 21.73, I = 56.0; d 2.951, 2θ 30.29, I = 68.2; d 2.822, 2θ 31.71, I = 93.4; d 2.775, 2θ 32.26, I = 82.4; d 2.362, 2θ 38.10, I = 70.7; d 2.289, 2θ 39.36, I = 100.0; d 2.194, 2θ 41.15, I = 84.4; d 2.122, 2θ 42.61, I = 49.5

Structure:
```
data_Ca2Hg5Au3
_chemical_formula_sum 'Ca4 Hg10 Au6'
_space_group_name_H-M_alt 'P 1'
_space_group_IT_number 1
_cell_length_a 13.8430
_cell_length_b 13.8430
_cell_length_c 7.7976
_cell_angle_alpha 90.00
_cell_angle_beta 90.00
_cell_angle_gamma 160.96
loop_
_space_group_symop_operation_xyz
'x,y,z'
loop_
_atom_site_label
_atom_site_type_symbol
_atom_site_fract_x
_atom_site_fract_y
_atom_site_fract_z
Ca1 Ca 0.0235 0.9765 0.5000
Ca2 Ca 0.3179 0.6821 0.3757
Ca3 Ca 0.6821 0.3179 0.8757
Ca4 Ca 0.9765 0.0235 0.0000
Hg1 Hg 0.0981 0.9019 0.1162
Hg2 Hg 0.2029 0.7971 0.1625
Hg3 Hg 0.2057 0.7943 0.5722
Hg4 Hg 0.3787 0.6213 0.9659
Hg5 Hg 0.4444 0.5556 0.3385
Hg6 Hg 0.5556 0.4444 0.8385
Hg7 Hg 0.6213 0.3787 0.4659
Hg8 Hg 0.7943 0.2057 0.0722
Hg9 Hg 0.7971 0.2029 0.6625
Hg10 Hg 0.9019 0.0981 0.6162
Au1 Au 0.1136 0.8864 0.7362
Au2 Au 0.2695 0.7305 0.8665
Au3 Au 0.4587 0.5413 0.7218
Au4 Au 0.5413 0.4587 0.2218
Au5 Au 0.7305 0.2695 0.3665
Au6 Au 0.8864 0.1136 0.2362
```


Theoretical PXRD pattern of Ca2Hg2Au for Cu Kα, 1.54184 Å, from DFT lattice parameters and positions (PBE).
Lines closer than 0.1° are merged.

Peak list (8 most intense, 10° ≤ 2θ ≤ 90°, sorted by position)
d 4.353, 2θ 20.40, I = 63.0; d 3.636, 2θ 24.48, I = 72.5; d 2.791, 2θ 32.07, I = 94.5; d 2.557, 2θ 35.09, I = 100.0; d 2.268, 2θ 39.74, I = 37.4; d 2.104, 2θ 42.99, I = 29.3; d 2.092, 2θ 43.26, I = 65.8; d 1.482, 2θ 62.70, I = 37.3

Structure:
```
data_Ca2Hg2Au
_chemical_formula_sum 'Ca4 Hg4 Au2'
_space_group_name_H-M_alt 'P 1'
_space_group_IT_number 1
_cell_length_a 4.5358
_cell_length_b 15.4799
_cell_length_c 3.6360
_cell_angle_alpha 90.00
_cell_angle_beta 90.00
_cell_angle_gamma 90.00
loop_
_space_group_symop_operation_xyz
'x,y,z'
loop_
_atom_site_label
_atom_site_type_symbol
_atom_site_fract_x
_atom_site_fract_y
_atom_site_fract_z
Ca1 Ca 0.0000 0.1099 0.0000
Ca2 Ca 0.0000 0.8901 0.0000
Ca3 Ca 0.5000 0.3901 0.0000
Ca4 Ca 0.5000 0.6099 0.0000
Hg1 Hg 0.0000 0.3082 0.5000
Hg2 Hg 0.0000 0.6918 0.5000
Hg3 Hg 0.5000 0.1918 0.5000
Hg4 Hg 0.5000 0.8082 0.5000
Au1 Au 0.0000 0.5000 0.5000
Au2 Au 0.5000 0.0000 0.5000
```


Theoretical PXRD pattern of Ca3Hg3Au2 for Cu Kα, 1.54184 Å, from DFT lattice parameters and positions (PBE).
Lines closer than 0.1° are merged.

Peak list (8 most intense, 10° ≤ 2θ ≤ 90°, sorted by position)
d 4.040, 2θ 22.00, I = 54.9; d 3.839, 2θ 23.17, I = 50.8; d 2.930, 2θ 30.51, I = 85.1; d 2.620, 2θ 34.23, I = 42.6; d 2.516, 2θ 35.68, I = 100.0; d 2.355, 2θ 38.22, I = 99.2; d 2.115, 2θ 42.75, I = 56.7; d 2.102, 2θ 43.03, I = 42.2

Structure:
```
data_Ca3Hg3Au2
_chemical_formula_sum 'Ca6 Hg6 Au4'
_space_group_name_H-M_alt 'P 1'
_space_group_IT_number 1
_cell_length_a 5.9658
_cell_length_b 5.9658
_cell_length_c 17.5576
_cell_angle_alpha 90.00
_cell_angle_beta 90.00
_cell_angle_gamma 138.74
loop_
_space_group_symop_operation_xyz
'x,y,z'
loop_
_atom_site_label
_atom_site_type_symbol
_atom_site_fract_x
_atom_site_fract_y
_atom_site_fract_z
Ca1 Ca 0.0580 0.9420 0.6089
Ca2 Ca 0.0580 0.9420 0.8911
Ca3 Ca 0.3260 0.6740 0.7500
Ca4 Ca 0.6740 0.3260 0.2500
Ca5 Ca 0.9420 0.0580 0.1089
Ca6 Ca 0.9420 0.0580 0.3911
Hg1 Hg 0.3673 0.6327 0.5302
Hg2 Hg 0.3673 0.6327 0.9698
Hg3 Hg 0.3996 0.6004 0.2500
Hg4 Hg 0.6004 0.3996 0.7500
Hg5 Hg 0.6327 0.3673 0.0302
Hg6 Hg 0.6327 0.3673 0.4698
Au1 Au 0.2315 0.7685 0.1230
Au2 Au 0.2315 0.7685 0.3770
Au3 Au 0.7685 0.2315 0.6230
Au4 Au 0.7685 0.2315 0.8770
```


Theoretical PXRD pattern of Ca7Hg2Au2 for Cu Kα, 1.54184 Å, from DFT lattice parameters and positions (PBE).
Lines closer than 0.1° are merged.

Peak list (8 most intense, 10° ≤ 2θ ≤ 90°, sorted by position)
d 4.243, 2θ 20.94, I = 91.6; d 4.080, 2θ 21.78, I = 45.2; d 3.851, 2θ 23.09, I = 51.4; d 3.483, 2θ 25.58, I = 42.5; d 2.801, 2θ 31.95, I = 100.0; d 2.473, 2θ 36.33, I = 63.5; d 2.386, 2θ 37.71, I = 32.3; d 1.876, 2θ 48.53, I = 39.0

Structure:
```
data_Ca7Hg2Au2
_chemical_formula_sum 'Ca7 Hg2 Au2'
_space_group_name_H-M_alt 'P 1'
_space_group_IT_number 1
_cell_length_a 9.7785
_cell_length_b 9.7785
_cell_length_c 9.7785
_cell_angle_alpha 155.33
_cell_angle_beta 66.87
_cell_angle_gamma 118.95
loop_
_space_group_symop_operation_xyz
'x,y,z'
loop_
_atom_site_label
_atom_site_type_symbol
_atom_site_fract_x
_atom_site_fract_y
_atom_site_fract_z
Ca1 Ca 0.0000 0.0000 0.0000
Ca2 Ca 0.0652 0.3803 0.6849
Ca3 Ca 0.1099 0.7517 0.3581
Ca4 Ca 0.3936 0.7517 0.6419
Ca5 Ca 0.4683 0.5858 0.8825
Ca6 Ca 0.6954 0.3803 0.3151
Ca7 Ca 0.7032 0.5858 0.1175
Hg1 Hg 0.3251 0.3251 0.0000
Hg2 Hg 0.7544 0.2544 0.5000
Au1 Au 0.3265 0.0857 0.2408
Au2 Au 0.8449 0.0857 0.7592
```


Theoretical PXRD pattern of Na2CaHgAu for Cu Kα, 1.54184 Å, from DFT lattice parameters and positions (PBE).
Lines closer than 0.1° are merged.

Peak list (8 most intense, 10° ≤ 2θ ≤ 90°, sorted by position)
d 5.435, 2θ 16.31, I = 100.0; d 3.843, 2θ 23.15, I = 57.2; d 2.718, 2θ 32.95, I = 54.7; d 2.431, 2θ 36.97, I = 57.0; d 2.220, 2θ 40.64, I = 27.0; d 1.922, 2θ 47.30, I = 39.9; d 1.812, 2θ 50.36, I = 30.2; d 1.216, 2θ 78.73, I = 17.8

Structure:
```
data_Na2CaHgAu
_chemical_formula_sum 'Na2 Ca1 Hg1 Au1'
_space_group_name_H-M_alt 'P 1'
_space_group_IT_number 1
_cell_length_a 5.4346
_cell_length_b 5.4346
_cell_length_c 5.4388
_cell_angle_alpha 90.00
_cell_angle_beta 90.00
_cell_angle_gamma 90.00
loop_
_space_group_symop_operation_xyz
'x,y,z'
loop_
_atom_site_label
_atom_site_type_symbol
_atom_site_fract_x
_atom_site_fract_y
_atom_site_fract_z
Na1 Na 0.0000 0.5000 0.0000
Na2 Na 0.5000 0.0000 0.0000
Ca1 Ca 0.0000 0.0000 0.5000
Hg1 Hg 0.5000 0.5000 0.5000
Au1 Au 0.5000 0.5000 0.0000
```


Theoretical PXRD pattern of CaPaHgAu for Cu Kα, 1.54184 Å, from DFT lattice parameters and positions (PBE).
Lines closer than 0.1° are merged.

Peak list (8 most intense, 10° ≤ 2θ ≤ 90°, sorted by position)
d 4.249, 2θ 20.91, I = 16.8; d 3.679, 2θ 24.19, I = 4.5; d 2.602, 2θ 34.47, I = 100.0; d 2.219, 2θ 40.66, I = 9.8; d 1.840, 2θ 49.55, I = 18.2; d 1.502, 2θ 61.76, I = 37.8; d 1.301, 2θ 72.69, I = 11.8; d 1.164, 2θ 82.99, I = 17.0

Structure:
```
data_CaPaHgAu
_chemical_formula_sum 'Ca4 Pa4 Hg4 Au4'
_space_group_name_H-M_alt 'P 1'
_space_group_IT_number 1
_cell_length_a 7.3587
_cell_length_b 7.3587
_cell_length_c 7.3587
_cell_angle_alpha 90.00
_cell_angle_beta 90.00
_cell_angle_gamma 90.00
loop_
_space_group_symop_operation_xyz
'x,y,z'
loop_
_atom_site_label
_atom_site_type_symbol
_atom_site_fract_x
_atom_site_fract_y
_atom_site_fract_z
Ca1 Ca 0.0000 0.0000 0.0000
Ca2 Ca 0.0000 0.5000 0.5000
Ca3 Ca 0.5000 0.0000 0.5000
Ca4 Ca 0.5000 0.5000 0.0000
Pa1 Pa 0.0000 0.0000 0.5000
Pa2 Pa 0.0000 0.5000 0.0000
Pa3 Pa 0.5000 0.0000 0.0000
Pa4 Pa 0.5000 0.5000 0.5000
Hg1 Hg 0.2500 0.2500 0.7500
Hg2 Hg 0.2500 0.7500 0.2500
Hg3 Hg 0.7500 0.2500 0.2500
Hg4 Hg 0.7500 0.7500 0.7500
Au1 Au 0.2500 0.2500 0.2500
Au2 Au 0.2500 0.7500 0.7500
Au3 Au 0.7500 0.2500 0.7500
Au4 Au 0.7500 0.7500 0.2500
```


Theoretical PXRD pattern of Ca4Hg2PbAu for Cu Kα, 1.54184 Å, from DFT lattice parameters and positions (PBE).
Lines closer than 0.1° are merged.

Peak list (8 most intense, 10° ≤ 2θ ≤ 90°, sorted by position)
d 3.789, 2θ 23.48, I = 99.4; d 2.692, 2θ 33.29, I = 100.0; d 2.666, 2θ 33.61, I = 98.4; d 2.180, 2θ 41.41, I = 24.3; d 1.894, 2θ 48.03, I = 35.8; d 1.701, 2θ 53.91, I = 23.8; d 1.688, 2θ 54.35, I = 22.7; d 1.544, 2θ 59.90, I = 36.9

Structure:
```
data_Ca4Hg2PbAu
_chemical_formula_sum 'Ca4 Hg2 Pb1 Au1'
_space_group_name_H-M_alt 'P 1'
_space_group_IT_number 1
_cell_length_a 9.3545
_cell_length_b 9.3545
_cell_length_c 9.3545
_cell_angle_alpha 33.12
_cell_angle_beta 33.12
_cell_angle_gamma 33.12
loop_
_space_group_symop_operation_xyz
'x,y,z'
loop_
_atom_site_label
_atom_site_type_symbol
_atom_site_fract_x
_atom_site_fract_y
_atom_site_fract_z
Ca1 Ca 0.1201 0.1201 0.1201
Ca2 Ca 0.3711 0.3711 0.3711
Ca3 Ca 0.6289 0.6289 0.6289
Ca4 Ca 0.8799 0.8799 0.8799
Hg1 Hg 0.2492 0.2492 0.2492
Hg2 Hg 0.7508 0.7508 0.7508
Pb1 Pb 0.5000 0.5000 0.5000
Au1 Au 0.0000 0.0000 0.0000
```


Theoretical PXRD pattern of CaSnHgAu for Cu Kα, 1.54184 Å, from DFT lattice parameters and positions (PBE).
Lines closer than 0.1° are merged.

Peak list (8 most intense, 10° ≤ 2θ ≤ 90°, sorted by position)
d 3.620, 2θ 24.59, I = 20.8; d 2.560, 2θ 35.06, I = 100.0; d 2.090, 2θ 43.29, I = 6.6; d 1.810, 2θ 50.42, I = 18.0; d 1.619, 2θ 56.88, I = 9.0; d 1.478, 2θ 62.89, I = 37.3; d 1.280, 2θ 74.08, I = 11.7; d 1.145, 2θ 84.67, I = 17.1

Structure:
```
data_CaSnHgAu
_chemical_formula_sum 'Ca4 Sn4 Hg4 Au4'
_space_group_name_H-M_alt 'P 1'
_space_group_IT_number 1
_cell_length_a 7.2399
_cell_length_b 7.2399
_cell_length_c 7.2399
_cell_angle_alpha 90.00
_cell_angle_beta 90.00
_cell_angle_gamma 90.00
loop_
_space_group_symop_operation_xyz
'x,y,z'
loop_
_atom_site_label
_atom_site_type_symbol
_atom_site_fract_x
_atom_site_fract_y
_atom_site_fract_z
Ca1 Ca 0.0000 0.0000 0.0000
Ca2 Ca 0.0000 0.5000 0.5000
Ca3 Ca 0.5000 0.0000 0.5000
Ca4 Ca 0.5000 0.5000 0.0000
Sn1 Sn 0.0000 0.0000 0.5000
Sn2 Sn 0.0000 0.5000 0.0000
Sn3 Sn 0.5000 0.0000 0.0000
Sn4 Sn 0.5000 0.5000 0.5000
Hg1 Hg 0.2500 0.2500 0.7500
Hg2 Hg 0.2500 0.7500 0.2500
Hg3 Hg 0.7500 0.2500 0.2500
Hg4 Hg 0.7500 0.7500 0.7500
Au1 Au 0.2500 0.2500 0.2500
Au2 Au 0.2500 0.7500 0.7500
Au3 Au 0.7500 0.2500 0.7500
Au4 Au 0.7500 0.7500 0.2500
```


Theoretical PXRD pattern of CaThHgAu for Cu Kα, 1.54184 Å, from DFT lattice parameters and positions (PBE).
Lines closer than 0.1° are merged.

Peak list (8 most intense, 10° ≤ 2θ ≤ 90°, sorted by position)
d 4.321, 2θ 20.55, I = 16.4; d 3.742, 2θ 23.78, I = 4.7; d 2.646, 2θ 33.88, I = 100.0; d 2.257, 2θ 39.95, I = 9.6; d 1.871, 2θ 48.66, I = 18.3; d 1.528, 2θ 60.61, I = 38.2; d 1.323, 2θ 71.28, I = 11.9; d 1.183, 2θ 81.30, I = 17.0

Structure:
```
data_CaThHgAu
_chemical_formula_sum 'Ca4 Th4 Hg4 Au4'
_space_group_name_H-M_alt 'P 1'
_space_group_IT_number 1
_cell_length_a 7.4846
_cell_length_b 7.4846
_cell_length_c 7.4846
_cell_angle_alpha 90.00
_cell_angle_beta 90.00
_cell_angle_gamma 90.00
loop_
_space_group_symop_operation_xyz
'x,y,z'
loop_
_atom_site_label
_atom_site_type_symbol
_atom_site_fract_x
_atom_site_fract_y
_atom_site_fract_z
Ca1 Ca 0.0000 0.0000 0.0000
Ca2 Ca 0.0000 0.5000 0.5000
Ca3 Ca 0.5000 0.0000 0.5000
Ca4 Ca 0.5000 0.5000 0.0000
Th1 Th 0.0000 0.0000 0.5000
Th2 Th 0.0000 0.5000 0.0000
Th3 Th 0.5000 0.0000 0.0000
Th4 Th 0.5000 0.5000 0.5000
Hg1 Hg 0.2500 0.2500 0.2500
Hg2 Hg 0.2500 0.7500 0.7500
Hg3 Hg 0.7500 0.2500 0.7500
Hg4 Hg 0.7500 0.7500 0.2500
Au1 Au 0.2500 0.2500 0.7500
Au2 Au 0.2500 0.7500 0.2500
Au3 Au 0.7500 0.2500 0.2500
Au4 Au 0.7500 0.7500 0.7500
```


Theoretical PXRD pattern of CaHo3Au4 for Cu Kα, 1.54184 Å, from DFT lattice parameters and positions (PBE).
Lines closer than 0.1° are merged.

Peak list (8 most intense, 10° ≤ 2θ ≤ 90°, sorted by position)
d 2.546, 2θ 35.25, I = 98.2; d 2.533, 2θ 35.44, I = 100.0; d 1.796, 2θ 50.85, I = 35.0; d 1.473, 2θ 63.13, I = 16.6; d 1.465, 2θ 63.51, I = 36.0; d 1.462, 2θ 63.63, I = 18.5; d 1.138, 2θ 85.33, I = 14.9; d 1.134, 2θ 85.67, I = 16.3

Structure:
```
data_CaHo3Au4
_chemical_formula_sum 'Ca1 Ho3 Au4'
_space_group_name_H-M_alt 'P 1'
_space_group_IT_number 1
_cell_length_a 8.8366
_cell_length_b 8.8366
_cell_length_c 8.8366
_cell_angle_alpha 33.31
_cell_angle_beta 33.31
_cell_angle_gamma 33.31
loop_
_space_group_symop_operation_xyz
'x,y,z'
loop_
_atom_site_label
_atom_site_type_symbol
_atom_site_fract_x
_atom_site_fract_y
_atom_site_fract_z
Ca1 Ca 0.0000 0.0000 0.0000
Ho1 Ho 0.2515 0.2515 0.2515
Ho2 Ho 0.5000 0.5000 0.5000
Ho3 Ho 0.7485 0.7485 0.7485
Au1 Au 0.1300 0.1300 0.1300
Au2 Au 0.3790 0.3790 0.3790
Au3 Au 0.6210 0.6210 0.6210
Au4 Au 0.8700 0.8700 0.8700
```


Theoretical PXRD pattern of CaHo2Au3 for Cu Kα, 1.54184 Å, from DFT lattice parameters and positions (PBE).
Lines closer than 0.1° are merged.

Peak list (8 most intense, 10° ≤ 2θ ≤ 90°, sorted by position)
d 2.557, 2θ 35.09, I = 100.0; d 2.537, 2θ 35.38, I = 51.0; d 1.794, 2θ 50.91, I = 18.3; d 1.481, 2θ 62.76, I = 16.5; d 1.468, 2θ 63.33, I = 36.4; d 1.279, 2θ 74.16, I = 10.3; d 1.136, 2θ 85.45, I = 8.2; d 1.134, 2θ 85.62, I = 8.6

Structure:
```
data_CaHo2Au3
_chemical_formula_sum 'Ca1 Ho2 Au3'
_space_group_name_H-M_alt 'P 1'
_space_group_IT_number 1
_cell_length_a 3.5874
_cell_length_b 3.5874
_cell_length_c 10.9396
_cell_angle_alpha 90.00
_cell_angle_beta 90.00
_cell_angle_gamma 90.00
loop_
_space_group_symop_operation_xyz
'x,y,z'
loop_
_atom_site_label
_atom_site_type_symbol
_atom_site_fract_x
_atom_site_fract_y
_atom_site_fract_z
Ca1 Ca 0.0000 0.0000 0.0000
Ho1 Ho 0.0000 0.0000 0.3340
Ho2 Ho 0.0000 0.0000 0.6660
Au1 Au 0.5000 0.5000 0.1835
Au2 Au 0.5000 0.5000 0.5000
Au3 Au 0.5000 0.5000 0.8165
```


Theoretical PXRD pattern of CaHoMgAu for Cu Kα, 1.54184 Å, from DFT lattice parameters and positions (PBE).
Lines closer than 0.1° are merged.

Peak list (8 most intense, 10° ≤ 2θ ≤ 90°, sorted by position)
d 4.260, 2θ 20.85, I = 54.0; d 2.609, 2θ 34.37, I = 100.0; d 2.225, 2θ 40.55, I = 30.9; d 1.845, 2θ 49.40, I = 17.9; d 1.693, 2θ 54.18, I = 13.6; d 1.506, 2θ 61.57, I = 36.9; d 1.304, 2θ 72.45, I = 11.4; d 1.167, 2θ 82.71, I = 16.2

Structure:
```
data_CaHoMgAu
_chemical_formula_sum 'Ca4 Ho4 Mg4 Au4'
_space_group_name_H-M_alt 'P 1'
_space_group_IT_number 1
_cell_length_a 7.3792
_cell_length_b 7.3792
_cell_length_c 7.3792
_cell_angle_alpha 90.00
_cell_angle_beta 90.00
_cell_angle_gamma 90.00
loop_
_space_group_symop_operation_xyz
'x,y,z'
loop_
_atom_site_label
_atom_site_type_symbol
_atom_site_fract_x
_atom_site_fract_y
_atom_site_fract_z
Ca1 Ca 0.0000 0.0000 0.0000
Ca2 Ca 0.0000 0.5000 0.5000
Ca3 Ca 0.5000 0.0000 0.5000
Ca4 Ca 0.5000 0.5000 0.0000
Ho1 Ho 0.0000 0.0000 0.5000
Ho2 Ho 0.0000 0.5000 0.0000
Ho3 Ho 0.5000 0.0000 0.0000
Ho4 Ho 0.5000 0.5000 0.5000
Mg1 Mg 0.2500 0.2500 0.2500
Mg2 Mg 0.2500 0.7500 0.7500
Mg3 Mg 0.7500 0.2500 0.7500
Mg4 Mg 0.7500 0.7500 0.2500
Au1 Au 0.2500 0.2500 0.7500
Au2 Au 0.2500 0.7500 0.2500
Au3 Au 0.7500 0.2500 0.2500
Au4 Au 0.7500 0.7500 0.7500
```